Record 1
Structure and computed powder X-ray diffraction pattern of VInO4 (a cell relaxed with GGA+U; Cu Kα, 1.54184 Å).
Lines closer than 0.1° are merged.

Top 6 peaks for 2θ from 15° to 90°, by angle:
2θ/deg  intensity
24.13  29
29.91  100
30.14  15
35.02  13
52.79  18
52.95  15

Structural model:
Lattice parameters (Å, degrees): 5.093 4.712 5.929 90.00 90.00 90.00
Space group Pnc2 (No. 30)
One atom of each set of equivalent atoms:
1 V 0.000 0.000 0.000
2 In 0.500 0.000 0.627
3 O 0.147 0.243 0.183
4 O 0.297 0.699 0.416

***

Record 2
Structure and computed powder X-ray diffraction pattern of VIn6O12 (a cell relaxed with GGA+U; Cu Kα, 1.54184 Å).
Lines closer than 0.1° are merged.

Top 6 peaks for 2θ from 15° to 90°, by angle:
2θ/deg  intensity
29.60  31
30.18  100
34.83  39
49.70  26
50.45  26
59.59  21

Structural model:
Lattice parameters (Å, degrees): 9.5719 9.5719 9.0527 90.00 90.00 120.00
Space group R-3 (No. 148, hexagonal axes)
One atom of each set of equivalent atoms:
1 V 0.0000 0.0000 0.0000
2 In 0.0378 0.7854 0.6470
3 O 0.0223 0.8014 0.3967
4 O 0.0238 0.8454 0.8849